# 1
For Ce2CuNi3Ge4, a crystal structure in Alexandria, relaxed with GGA-PBE gives the calculated X-ray powder pattern in this record (λ = 1.5418 Å (Cu Kα)).

Main lines, low angle first (10° ≤ 2θ ≤ 80°):
two_theta  intensity
30.4  17
35.2  67
35.7  100
43.5  62
48.8  10
52.2  24
57.1  32
63.2  20
66.2  13
70.2  20
74.4  7
74.7  22

Crystal structure
Lattice parameters (Å, degrees): 4.1640 4.1640 9.6545 90.00 90.00 90.00
Space group P-4m2 (No. 115)
One atom of each set of equivalent atoms:
Ce (0.0000, 0.5000, 0.2488)
Cu (0.5000, 0.5000, 0.0000)
Ni (0.0000, 0.0000, 0.0000)
Ni (0.0000, 0.5000, 0.6230)
Ge (0.0000, 0.0000, 0.5000)
Ge (0.0000, 0.5000, 0.8666)
Ge (0.5000, 0.5000, 0.5000)

# 2
For Er2Fe3B4, a crystal structure in Alexandria, relaxed with GGA-PBE gives the calculated X-ray powder pattern in this record (λ = 1.5418 Å (Cu Kα)).

Main lines, low angle first (10° ≤ 2θ ≤ 80°):
two_theta  intensity
20.4  37
22.4  33
27.3  16
34.3  100
36.0  15
41.5  30
41.8  49
42.2  19
45.5  53
63.3  15
63.7  17
72.2  15

Crystal structure
Lattice parameters (Å, degrees): 4.9842 8.7038 9.8537 90.00 90.00 90.00
Space group Fmmm (No. 69)
One atom of each set of equivalent atoms:
Er (0.0000, 0.0000, 0.1523)
Fe (0.0000, 0.0000, 0.5000)
Fe (0.2500, 0.2500, 0.0000)
B (0.0000, 0.2107, 0.3365)

# 3
For CaTeAu2, a crystal structure in Alexandria, relaxed with GGA-PBE gives the calculated X-ray powder pattern in this record (λ = 1.5418 Å (Cu Kα)).

Main lines, low angle first (10° ≤ 2θ ≤ 80°):
two_theta  intensity
18.7  17
28.7  13
34.5  100
37.9  19
41.0  31
45.4  8
48.2  7
57.1  24
59.4  10
66.3  15
70.5  25
72.7  12

Crystal structure
Lattice parameters (Å, degrees): 4.4008 4.4008 9.4930 90.00 90.00 90.00
Space group I4/mmm (No. 139)
One atom of each set of equivalent atoms:
Ca (0.0000, 0.0000, 0.0000)
Te (0.0000, 0.0000, 0.5000)
Au (0.0000, 0.5000, 0.2500)

# 4
For PaCuAgI6, a crystal structure in Alexandria, relaxed with GGA-PBE gives the calculated X-ray powder pattern in this record (λ = 1.5418 Å (Cu Kα)).

Main lines, low angle first (10° ≤ 2θ ≤ 80°):
two_theta  intensity
18.7  37
27.3  100
30.7  11
35.2  69
39.4  12
42.4  44
45.8  25
51.2  16
56.3  17
68.6  13
69.2  20
73.0  15

Crystal structure
Lattice parameters (Å, degrees): 7.3779 7.3779 14.0994 90.00 90.00 120.00
Space group P-31c (No. 163)
One atom of each set of equivalent atoms:
Pa (0.3333, 0.6667, 0.2500)
Cu (0.3333, 0.6667, 0.7500)
Ag (0.0000, 0.0000, 0.0000)
I (0.0137, 0.3489, 0.6272)

# 5
For V7Cr3Tc2, a crystal structure in Alexandria, relaxed with GGA-PBE gives the calculated X-ray powder pattern in this record (λ = 1.5418 Å (Cu Kα)).

Main lines, low angle first (10° ≤ 2θ ≤ 80°):
two_theta  intensity
17.4  13
22.3  12
24.0  8
33.5  11
37.4  6
42.4  29
44.0  100
45.6  23
63.8  7
64.1  15
78.7  16
79.7  7

Crystal structure
Lattice parameters (Å, degrees): 4.2591 20.4197 3.9782 90.00 90.00 90.00
Space group Cmmm (No. 65)
One atom of each set of equivalent atoms:
V (0.0000, 0.0000, 0.0000)
V (0.0000, 0.0738, 0.5000)
V (0.0000, 0.2869, 0.0000)
V (0.0000, 0.4277, 0.0000)
Cr (0.0000, 0.3548, 0.5000)
Cr (0.0000, 0.5000, 0.5000)
Tc (0.0000, 0.1488, 0.0000)

# 6
For Hf4TeS, a crystal structure in Alexandria, relaxed with GGA-PBE gives the calculated X-ray powder pattern in this record (λ = 1.5418 Å (Cu Kα)).

Main lines, low angle first (10° ≤ 2θ ≤ 80°):
two_theta  intensity
12.1  17
24.4  17
28.3  20
29.3  27
32.2  100
33.9  67
34.6  15
38.1  18
40.5  23
40.8  32
53.4  18
66.2  19

Crystal structure
Lattice parameters (Å, degrees): 7.8305 5.5526 6.8835 90.00 111.20 90.00
Space group P2_1/c (No. 14)
One atom of each set of equivalent atoms:
Hf (0.1473, 0.2294, 0.3236)
Hf (0.2473, 0.7073, 0.1183)
Te (0.5000, 0.0000, 0.0000)
S (0.0000, 0.0000, 0.0000)